No. 1
Ba2LaSbO6: theoretical XRD peak list (Cu Ka), based on a GGA-PBE-relaxed structure.

Top 10 peaks for 2θ from 10° to 90°, by intensity:
two_theta, I/Imax
28.85, 100.0
29.04, 100.0
41.39, 57.6
51.24, 41.6
82.51, 22.8
51.12, 21.8
51.58, 20.0
68.09, 18.5
67.80, 18.1
60.18, 18.0

Crystal structure
a = 6.1508 Å, b = 6.1508 Å, c = 6.1508 Å
α = 60.41°, β = 60.41°, γ = 60.41°
Positions (direct):
1 Ba 0.2485 0.2485 0.2485
2 Ba 0.7515 0.7515 0.7515
3 La 0.5000 0.5000 0.5000
4 Sb 0.0000 0.0000 0.0000
5 O 0.1883 0.2722 0.7725
6 O 0.2275 0.8117 0.7278
7 O 0.2722 0.7725 0.1883
8 O 0.7278 0.2275 0.8117
9 O 0.7725 0.1883 0.2722
10 O 0.8117 0.7278 0.2275

---

No. 2
Li4Ti5O12: theoretical XRD peak list (Cu Ka), based on a GGA-PBE-relaxed structure.

Top 10 peaks for 2θ from 10° to 90°, by intensity:
two_theta, I/Imax
18.22, 100.0
42.82, 40.9
62.29, 29.4
35.22, 24.2
42.96, 20.4
35.33, 18.3
56.68, 8.1
15.28, 8.0
65.50, 7.4
56.80, 7.3

Crystal structure
a = 5.9626 Å, b = 5.9626 Å, c = 13.3390 Å
α = 102.76°, β = 102.76°, γ = 89.84°
Positions (direct):
1 Li 0.0000 0.5000 0.5000
2 Li 0.1249 0.8751 0.7500
3 Li 0.2050 0.4620 0.9170
4 Li 0.4620 0.2050 0.4170
5 Li 0.5000 0.0000 0.0000
6 Li 0.5380 0.7950 0.5830
7 Li 0.7950 0.5380 0.0830
8 Li 0.8751 0.1249 0.2500
9 Ti 0.0000 0.0000 0.0000
10 Ti 0.0000 0.0000 0.5000
11 Ti 0.1707 0.6616 0.3393
12 Ti 0.3268 0.3350 0.6568
13 Ti 0.3350 0.3268 0.1568
14 Ti 0.3384 0.8293 0.1607
15 Ti 0.6616 0.1707 0.8393
16 Ti 0.6650 0.6732 0.8432
17 Ti 0.6732 0.6650 0.3432
18 Ti 0.8293 0.3384 0.6607
19 O 0.0819 0.1049 0.6585
20 O 0.0863 0.5436 0.6682
21 O 0.1049 0.0819 0.1585
22 O 0.1225 0.5901 0.1780
23 O 0.2236 0.7618 0.4874
24 O 0.2361 0.2409 0.0114
25 O 0.2382 0.7764 0.0126
26 O 0.2409 0.2361 0.5114
27 O 0.4099 0.8775 0.3220
28 O 0.4157 0.4434 0.3291
29 O 0.4434 0.4157 0.8291
30 O 0.4564 0.9137 0.8318
31 O 0.5436 0.0863 0.1682
32 O 0.5566 0.5843 0.1709
33 O 0.5843 0.5566 0.6709
34 O 0.5901 0.1225 0.6780
35 O 0.7591 0.7639 0.4886
36 O 0.7618 0.2236 0.9874
37 O 0.7639 0.7591 0.9886
38 O 0.7764 0.2382 0.5126
39 O 0.8775 0.4099 0.8220
40 O 0.8951 0.9181 0.8415
41 O 0.9137 0.4564 0.3318
42 O 0.9181 0.8951 0.3415

---

Number 1 is which compound?
Ba2LaSbO6